Diffraction record for Sr5Sb3. The XRD peak list is calculated, not measured: it uses a DFT-relaxed cell (GGA-PBE, Alexandria) and Cu Kα (weighted mean of Kα1 and Kα2).

Structural model:
```
32
Lattice="13.485 0.000 0.000 0.000 10.106 0.000 0.000 0.000 8.807" Properties=species:S:1:pos:R:3 pbc="T T T"
Sr 0.051 2.526 0.314
Sr 1.119 0.397 6.055
Sr 1.119 4.656 6.055
Sr 2.734 7.579 3.033
Sr 3.027 2.526 2.815
Sr 3.715 7.579 7.219
Sr 4.009 2.526 7.437
Sr 5.623 5.449 1.651
Sr 5.623 9.709 1.651
Sr 6.692 7.579 4.717
Sr 6.793 2.526 4.090
Sr 7.862 0.397 7.156
Sr 7.862 4.656 7.156
Sr 9.476 7.579 1.370
Sr 9.770 2.526 1.588
Sr 10.458 7.579 5.992
Sr 10.751 2.526 5.774
Sr 12.366 5.449 2.752
Sr 12.366 9.709 2.752
Sr 13.434 7.579 8.493
Sb 0.188 7.579 5.072
Sb 2.315 5.155 0.511
Sb 2.315 10.004 0.511
Sb 4.428 0.102 4.914
Sb 4.428 4.951 4.914
Sb 6.555 2.526 0.669
Sb 6.930 7.579 8.138
Sb 9.057 5.155 3.893
Sb 9.057 10.004 3.893
Sb 11.170 0.102 8.296
Sb 11.170 4.951 8.296
Sb 13.297 2.526 3.735
```

Main lines, by angle (10° ≤ 2θ ≤ 90°):
2θ/deg, I/Imax
22.20, 18
27.67, 64
28.39, 100
30.00, 69
31.91, 45
35.53, 38
39.21, 22
45.30, 18
46.07, 18
57.00, 19

***

Diffraction record for Rb2Tm2PtO6. The XRD peak list is calculated, not measured: it uses a DFT-relaxed cell (GGA-PBE, Alexandria) and Cu Kα (weighted mean of Kα1 and Kα2).

Structural model:
```
11
Lattice="2.881 -4.949 0.000 2.881 4.949 0.000 -1.787 0.000 6.639" Properties=species:S:1:pos:R:3 pbc="T T T"
Rb 2.881 3.324 0.000
Rb 2.881 -3.324 0.000
Tm 1.988 1.634 3.320
Tm 1.988 -1.634 3.320
Pt -0.893 0.000 3.320
O 0.010 1.570 4.411
O 0.899 0.000 2.217
O 0.010 -1.570 4.411
O 3.965 1.570 2.228
O 3.076 0.000 4.422
O 3.965 -1.570 2.228
```

Main lines, by angle (10° ≤ 2θ ≤ 90°):
2θ/deg, I/Imax
13.34, 100
26.86, 50
31.51, 26
32.18, 28
32.63, 53
36.03, 67
36.34, 33
48.71, 24
55.36, 26
55.98, 16

***

Diffraction record for PmMgAu6. The XRD peak list is calculated, not measured: it uses a DFT-relaxed cell (GGA-PBE, Alexandria) and Cu Kα (weighted mean of Kα1 and Kα2).

Structural model:
```
8
Lattice="4.956 0.000 0.000 0.000 6.080 0.000 0.000 0.000 5.206" Properties=species:S:1:pos:R:3 pbc="T T T"
Pm 0.000 0.000 0.000
Mg 2.478 3.040 1.669
Au 0.000 1.617 2.573
Au 0.000 3.040 0.011
Au 0.000 4.463 2.573
Au 2.478 0.000 1.852
Au 2.478 1.599 4.319
Au 2.478 4.480 4.319
```

Main lines, by angle (10° ≤ 2θ ≤ 90°):
2θ/deg, I/Imax
34.15, 22
34.45, 13
36.25, 40
38.82, 100
39.09, 46
50.66, 15
61.53, 17
66.92, 21
73.55, 20
74.83, 14

***

Diffraction record for Pu2MgPbO8. The XRD peak list is calculated, not measured: it uses a DFT-relaxed cell (GGA-PBE, Alexandria) and Cu Kα (weighted mean of Kα1 and Kα2).

Structural model:
```
12
Lattice="3.446 -3.639 0.000 3.446 3.639 0.000 0.000 0.000 6.979" Properties=species:S:1:pos:R:3 pbc="T T T"
Pu 0.000 0.000 1.674
Pu 0.000 0.000 5.305
Mg 3.446 0.000 0.000
Pb 3.446 0.000 3.489
O 3.446 2.405 3.489
O 3.446 2.272 0.000
O 1.949 0.000 1.542
O 1.949 0.000 5.437
O 4.943 0.000 1.542
O 4.943 0.000 5.437
O 3.446 -2.272 0.000
O 3.446 -2.405 3.489
```

Main lines, by angle (10° ≤ 2θ ≤ 90°):
2θ/deg, I/Imax
17.72, 29
21.85, 23
24.46, 57
25.86, 47
31.25, 100
35.89, 29
47.51, 42
49.10, 34
59.36, 19
61.62, 21

***

Diffraction record for Th4Bi3Pb. The XRD peak list is calculated, not measured: it uses a DFT-relaxed cell (GGA-PBE, Alexandria) and Cu Kα (weighted mean of Kα1 and Kα2).

Structural model:
```
16
Lattice="7.966 0.000 0.000 0.000 9.150 0.000 -2.627 0.000 7.528" Properties=species:S:1:pos:R:3 pbc="T T T"
Th -0.672 1.122 7.528
Th 0.642 8.028 3.764
Th 0.671 3.411 3.748
Th -0.643 5.739 7.512
Th 5.982 3.411 0.016
Th 4.669 5.739 3.780
Th 4.698 1.122 3.764
Th 6.011 8.028 0.000
Bi -1.970 3.434 5.646
Bi -0.657 5.716 1.882
Bi 2.013 1.144 5.646
Bi 3.326 3.430 1.882
Bi 2.013 5.720 5.646
Bi 3.326 8.006 1.882
Pb -0.657 1.149 1.882
Pb -1.970 8.001 5.646
```

Main lines, by angle (10° ≤ 2θ ≤ 90°):
2θ/deg, I/Imax
27.45, 100
39.04, 13
39.21, 53
39.39, 13
48.38, 15
48.68, 14
56.66, 14
64.09, 26
70.84, 10
71.31, 10

***

Diffraction record for BaCdTc. The XRD peak list is calculated, not measured: it uses a DFT-relaxed cell (GGA-PBE, Alexandria) and Cu Kα (weighted mean of Kα1 and Kα2).

Structural model:
```
3
Lattice="4.812 0.000 0.000 -2.406 4.167 0.000 0.000 0.000 4.659" Properties=species:S:1:pos:R:3 pbc="T T T"
Ba 0.000 0.000 0.000
Cd 2.406 1.389 2.329
Tc 0.000 2.778 2.329
```

Main lines, by angle (10° ≤ 2θ ≤ 90°):
2θ/deg, I/Imax
28.74, 100
37.38, 52
38.65, 16
47.82, 24
54.86, 33
62.22, 22
63.98, 10
67.42, 9
80.51, 11
86.83, 9

***

Diffraction record for Tb3Dy4Er3. The XRD peak list is calculated, not measured: it uses a DFT-relaxed cell (GGA-PBE, Alexandria) and Cu Kα (weighted mean of Kα1 and Kα2).

Structural model:
```
10
Lattice="3.678 0.000 0.000 0.000 6.542 6.550 0.000 -6.542 6.550" Properties=species:S:1:pos:R:3 pbc="T T T"
Tb 0.000 0.000 0.000
Tb 0.000 -2.249 8.795
Tb 0.000 2.249 8.795
Dy 1.839 -1.659 2.259
Dy 1.839 1.659 2.259
Dy 1.839 0.000 7.128
Dy 1.839 0.000 10.465
Er 0.000 0.000 4.501
Er 1.839 -3.254 5.516
Er 1.839 3.254 5.516
```

Main lines, by angle (10° ≤ 2θ ≤ 90°):
2θ/deg, I/Imax
27.25, 13
30.54, 63
31.06, 29
32.56, 100
34.95, 11
47.44, 12
49.56, 12
56.53, 16
59.34, 36
62.08, 11

***

Diffraction record for Cu3B6H2O13. The XRD peak list is calculated, not measured: it uses a DFT-relaxed cell (GGA-PBE, Alexandria) and Cu Kα (weighted mean of Kα1 and Kα2).

Structural model:
```
48
Lattice="0.000 8.362 2.856 8.153 0.000 2.856 8.153 8.362 0.000" Properties=species:S:1:pos:R:3 pbc="T T T"
Cu 0.000 0.000 0.000
Cu 9.616 5.499 2.218
Cu 4.076 4.181 1.428
Cu 10.766 9.680 3.646
Cu 6.690 11.225 2.218
Cu 5.540 7.044 3.646
B 10.869 8.015 1.199
B 1.994 2.046 0.798
B 6.159 6.316 0.798
B 6.070 2.135 2.226
B 11.943 6.988 3.253
B 6.793 4.528 2.627
B 5.437 8.710 1.199
B 9.513 12.196 2.627
B 2.083 6.227 2.226
B 16.019 13.917 4.681
B 4.363 9.736 3.253
B 8.439 11.169 4.681
H 8.543 7.658 3.006
H 7.763 9.066 3.006
H 11.839 11.839 4.434
H 12.619 13.247 4.434
O 13.211 6.477 2.671
O 8.838 1.923 2.966
O 4.762 2.258 1.538
O 10.888 6.976 2.235
O 8.192 4.201 2.246
O 14.416 9.186 2.917
O 5.966 5.005 1.490
O 10.246 9.258 1.753
O 2.187 3.357 1.490
O 6.169 3.285 3.181
O 6.060 7.466 1.753
O 12.190 8.382 3.674
O 3.391 6.104 1.538
O 9.134 6.066 4.098
O 6.812 5.567 3.663
O 8.153 8.362 3.549
O 5.418 9.748 2.235
O 8.114 12.523 2.246
O 9.494 11.157 3.663
O 10.137 13.439 3.181
O 1.890 7.538 2.917
O 12.229 12.543 4.977
O 3.095 10.247 2.671
O 4.116 8.342 3.674
O 7.172 10.658 4.098
O 7.468 14.801 2.966
```

Main lines, by angle (10° ≤ 2θ ≤ 90°):
2θ/deg, I/Imax
22.95, 91
23.21, 100
23.92, 47
30.63, 53
32.05, 49
33.19, 70
34.71, 51
34.98, 63
35.21, 48
48.44, 47

***

Diffraction record for BaSrZr4O12. The XRD peak list is calculated, not measured: it uses a DFT-relaxed cell (GGA-PBE, Alexandria) and Cu Kα (weighted mean of Kα1 and Kα2).

Structural model:
```
18
Lattice="8.378 0.000 0.000 0.000 4.207 4.208 0.000 -4.207 4.208" Properties=species:S:1:pos:R:3 pbc="T T T"
Ba 0.000 0.000 0.000
Sr 4.189 0.000 4.467
Zr 2.118 -2.051 2.223
Zr 2.118 2.051 2.223
Zr 6.260 -2.051 2.223
Zr 6.260 2.051 2.223
O 0.000 -2.021 2.192
O 0.000 2.021 2.192
O 2.036 0.000 6.341
O 2.079 -2.226 4.324
O 2.079 2.226 4.324
O 2.385 0.000 2.441
O 4.189 -1.839 6.304
O 4.189 1.839 6.304
O 5.993 0.000 2.441
O 6.299 -2.226 4.324
O 6.299 2.226 4.324
O 6.342 0.000 6.341
```

Main lines, by angle (10° ≤ 2θ ≤ 90°):
2θ/deg, I/Imax
18.29, 41
21.15, 23
30.08, 100
35.39, 14
42.99, 26
43.19, 13
53.37, 27
53.50, 14
62.58, 15
70.83, 11

***

Diffraction record for Ho3NiRu. The XRD peak list is calculated, not measured: it uses a DFT-relaxed cell (GGA-PBE, Alexandria) and Cu Kα (weighted mean of Kα1 and Kα2).

Structural model:
```
10
Lattice="6.048 0.000 0.000 0.000 4.187 0.000 -0.054 0.000 8.828" Properties=species:S:1:pos:R:3 pbc="T T T"
Ho 1.441 1.047 0.476
Ho 1.430 1.047 3.937
Ho 1.505 3.140 6.621
Ho 4.489 1.047 2.207
Ho 4.564 3.140 4.891
Ho 4.552 3.140 8.352
Ni 2.783 3.140 2.208
Ni 3.211 1.047 6.621
Ru 0.272 3.140 2.205
Ru 5.722 1.047 6.623
```

Main lines, by angle (10° ≤ 2θ ≤ 90°):
2θ/deg, I/Imax
29.54, 36
32.94, 100
33.06, 100
33.79, 34
33.96, 34
37.35, 27
38.05, 55
38.15, 53
43.22, 48
72.76, 35

***

Diffraction record for Rb2Hg3Ge2S8. The XRD peak list is calculated, not measured: it uses a DFT-relaxed cell (GGA-PBE, Alexandria) and Cu Kα (weighted mean of Kα1 and Kα2).

Structural model:
```
30
Lattice="10.107 0.000 0.000 0.000 6.580 0.000 -1.392 0.000 13.486" Properties=species:S:1:pos:R:3 pbc="T T T"
Rb 1.864 1.016 4.325
Rb 1.168 2.274 11.068
Rb 7.547 4.307 2.418
Rb 6.851 5.564 9.161
Hg 0.000 0.000 0.000
Hg -0.696 3.290 6.743
Hg 4.823 1.431 1.504
Hg 4.127 1.859 8.247
Hg 4.589 4.721 5.239
Hg 3.893 5.149 11.982
Ge 2.753 4.615 1.130
Ge 2.057 5.256 7.873
Ge 6.658 1.325 5.613
Ge 5.962 1.965 12.356
S 0.006 4.568 8.618
S 0.701 5.303 1.875
S 1.877 0.916 7.939
S 2.573 2.374 1.196
S 2.177 4.524 5.748
S 1.481 5.347 12.491
S 3.655 4.423 9.129
S 4.351 5.448 2.386
S 4.364 1.133 11.100
S 5.060 2.158 4.357
S 7.235 1.234 0.994
S 6.539 2.057 7.737
S 6.142 4.206 12.290
S 6.838 5.664 5.547
S 8.014 1.278 11.611
S 8.710 2.013 4.868
```

Main lines, by angle (10° ≤ 2θ ≤ 90°):
2θ/deg, I/Imax
15.00, 42
21.40, 100
22.69, 48
24.96, 45
26.85, 37
27.04, 87
28.53, 73
31.64, 37
35.73, 43
38.22, 38